# Cs4Ac6F19
Calculated X-ray diffraction stick pattern, Cu Kα X-rays. Input: a cell relaxed with PBE.
Kinematic intensities with the Lorentz-polarization factor, no thermal factor.

Structure:
```
Cs4Ac6F19
1.0
-6.163 6.163 6.163
6.163 -6.163 6.163
6.163 6.163 -6.163
Cs Ac F
4 6 19
Direct
0.000 0.000 0.734
0.000 0.734 0.000
0.266 0.266 0.266
0.734 0.000 0.000
0.165 0.665 0.500
0.335 0.500 0.835
0.500 0.165 0.665
0.500 0.835 0.335
0.665 0.500 0.165
0.835 0.335 0.500
0.000 0.000 0.000
0.000 0.386 0.386
0.000 0.614 0.614
0.056 0.353 0.691
0.297 0.944 0.635
0.309 0.662 0.365
0.338 0.647 0.703
0.353 0.691 0.056
0.365 0.309 0.662
0.386 0.000 0.386
0.386 0.386 0.000
0.614 0.000 0.614
0.614 0.614 0.000
0.635 0.297 0.944
0.647 0.703 0.338
0.662 0.365 0.309
0.691 0.056 0.353
0.703 0.338 0.647
0.944 0.635 0.297
```

Principal peaks in the range 2θ from 15° to 90°, most intense first:
two_theta	d (Å)	intensity
22.8	3.898	100
27.1	3.294	69
37.2	2.417	57
17.6	5.032	27
45.4	1.999	26
44.1	2.054	26
50.2	1.817	21
25.0	3.558	18
65.1	1.433	17
52.5	1.743	15